# Pr2I2O
Simulated X-ray diffraction stick pattern, copper Kα. Input: a structure optimized by DFT (PBE).

Peak list (10 most intense, 15 to 90 degrees two-theta, by angle)
2θ/deg	Rel. int.
20.24	100
24.25	19
28.77	42
31.79	38
37.98	24
41.14	16
42.30	18
46.26	22
47.32	13
52.91	18

```
Pr2I2O
1.0
4.3880 0.0000 0.0000
0.0000 4.3880 0.0000
0.0000 0.0000 14.6785
Pr I O
2 2 1
direct
0.0000 0.0000 0.1475
0.0000 0.0000 0.8525
0.0000 0.0000 0.3500
0.0000 0.0000 0.6500
0.0000 0.0000 0.0000
```



# YMg6Cu
Simulated X-ray diffraction stick pattern, copper Kα. Input: a structure optimized by DFT (PBE).

Peak list (10 most intense, 15 to 90 degrees two-theta, by angle)
2θ/deg	Rel. int.
15.97	58
23.89	20
32.27	35
33.05	24
36.18	40
36.69	65
37.12	100
49.25	21
56.93	18
69.35	24

```
YMg6Cu
1.0
4.9658 0.0000 0.0000
0.0000 3.1879 5.6309
0.0000 -3.1879 5.6309
Y Mg Cu
1 6 1
direct
0.0000 0.0000 0.0000
0.0000 0.5166 0.5166
0.0000 0.5174 0.9984
0.0000 0.9984 0.5174
0.5000 0.3490 0.3490
0.5000 0.3623 0.8450
0.5000 0.8450 0.3623
0.5000 0.8480 0.8480
```



Copy entry 1 word for word.
# Pr2I2O
Simulated X-ray diffraction stick pattern, copper Kα. Input: a structure optimized by DFT (PBE).

Peak list (10 most intense, 15 to 90 degrees two-theta, by angle)
2θ/deg	Rel. int.
20.24	100
24.25	19
28.77	42
31.79	38
37.98	24
41.14	16
42.30	18
46.26	22
47.32	13
52.91	18

```
Pr2I2O
1.0
4.3880 0.0000 0.0000
0.0000 4.3880 0.0000
0.0000 0.0000 14.6785
Pr I O
2 2 1
direct
0.0000 0.0000 0.1475
0.0000 0.0000 0.8525
0.0000 0.0000 0.3500
0.0000 0.0000 0.6500
0.0000 0.0000 0.0000
```



Question: What is the formula in the second record?
Answer: YMg6Cu